Entry 1:
Theoretical XRD peak list
Compound: SrAcAgAu
Radiation: Cu Kα X-rays
Structure: a structure optimized by DFT (PBE)

Peak list (6 most intense, 10 to 90 degrees two-theta, by angle)
2θ (°)  I/Imax  h k l
14.8  38  0 0 2
28.8  100  1 1 1
29.8  25  0 0 4
35.1  24  1 0 4
35.9  78  1 1 3
36.6  30  2 0 0

Cell: 4.9066 4.2405 11.9832 Å, 90.00 90.00 90.00°
Space group Amm2 (No. 38)
Asymmetric unit:
Sr  0.0000  0.0000  0.0000 (multiplicity 2)
Ac  0.5000  0.0000  0.7260 (multiplicity 2)
Ag  0.5000  0.0000  0.4398 (multiplicity 2)
Au  0.0000  0.0000  0.2797 (multiplicity 2)



Entry 2:
Theoretical XRD peak list
Compound: Ac4TlAgAu2
Radiation: Cu Kα X-rays
Structure: a structure optimized by DFT (PBE)

Peak list (6 most intense, 10 to 90 degrees two-theta, by angle)
2θ (°)  I/Imax  h k l
31.8  100  1 1 0
45.6  19  2 0 8
56.7  39  3 0 0
66.5  12  2 2 0
75.6  17  3 1 8
84.4  4  0 4 8

Cell: 5.6233 5.6233 27.5548 Å, 90.00 90.00 120.00°
Space group R-3m (No. 166, hexagonal axes)
Asymmetric unit:
Ac  0.0000  0.0000  0.1210 (multiplicity 6)
Ac  0.0000  0.0000  0.3720 (multiplicity 6)
Tl  0.0000  0.0000  0.5000 (multiplicity 3)
Ag  0.0000  0.0000  0.0000 (multiplicity 3)
Au  0.0000  0.0000  0.2475 (multiplicity 6)



Entry 3:
Theoretical XRD peak list
Compound: AcZn2AgAu5
Radiation: Cu Kα X-rays
Structure: a structure optimized by DFT (PBE)

Peak list (6 most intense, 10 to 90 degrees two-theta, by angle)
2θ (°)  I/Imax  h k l
27.7  24  1 1 1
34.6  100  1 1 2
35.7  73  2 0 0
51.3  24  2 0 3
51.4  26  2 2 0
63.4  35  3 1 2

Cell: 5.0286 5.0286 7.5739 Å, 90.00 90.00 90.00°
Space group P4/mmm (No. 123)
Asymmetric unit:
Ac  0.0000  0.0000  0.0000 (multiplicity 1)
Zn  0.5000  0.5000  0.3380 (multiplicity 2)
Ag  0.0000  0.0000  0.5000 (multiplicity 1)
Au  0.0000  0.5000  0.2902 (multiplicity 4)
Au  0.5000  0.5000  0.0000 (multiplicity 1)



Entry 4:
Theoretical XRD peak list
Compound: Ba2AcAg3O6
Radiation: Cu Kα X-rays
Structure: a structure optimized by DFT (PBE)

Peak list (6 most intense, 10 to 90 degrees two-theta, by angle)
2θ (°)  I/Imax  h k l
29.8  100  1 0 3
30.1  58  1 1 0
35.2  20  1 0 4
43.1  29  2 0 0
52.8  14  1 1 6
53.3  39  2 1 3

Cell: 4.1955 4.1955 12.8268 Å, 90.00 90.00 90.00°
Space group P4/mmm (No. 123)
Asymmetric unit:
Ba  0.0000  0.0000  0.1994 (multiplicity 2)
Ac  0.0000  0.0000  0.5000 (multiplicity 1)
Ag  0.5000  0.5000  0.0000 (multiplicity 1)
Ag  0.5000  0.5000  0.3550 (multiplicity 2)
O  0.0000  0.5000  0.3741 (multiplicity 4)
O  0.5000  0.5000  0.1599 (multiplicity 2)